[1]
MgTePb2O6: theoretical X-ray powder pattern (a wavelength of 1.5418 Å), based on a crystal structure in the Materials Project, relaxed with GGA-PBE.
Peak positions follow from Bragg's law for the DFT cell and can differ from measured ones.

a = 8.076 Å, b = 8.076 Å, c = 8.076 Å
α = 90.00°, β = 90.00°, γ = 90.00°
Space group Fm-3m (No. 225)
Inequivalent atoms, fractional coordinates:
Mg 0.000 0.000 0.000 x4
Te 0.000 0.000 0.500 x4
Pb 0.250 0.250 0.250 x8
O 0.000 0.000 0.259 x24

Principal peaks in the range 2θ from 15° to 90°, in order of rising 2θ:
- (1 1 1), 2θ = 19.03°, rel. 9
- (2 0 0), 2θ = 22.01°, rel. 20
- (2 2 0), 2θ = 31.33°, rel. 100
- (2 2 2), 2θ = 38.62°, rel. 18
- (4 0 0), 2θ = 44.89°, rel. 29
- (4 2 0), 2θ = 50.54°, rel. 11
- (4 2 2), 2θ = 55.76°, rel. 41
- (4 4 0), 2θ = 65.36°, rel. 18
- (6 2 0), 2θ = 74.27°, rel. 18
- (6 2 2), 2θ = 78.57°, rel. 6

***

[2]
PmMgO3: theoretical X-ray powder pattern (a wavelength of 1.5418 Å), based on a crystal structure in the Materials Project, relaxed with GGA-PBE.
Peak positions follow from Bragg's law for the DFT cell and can differ from measured ones.

a = 3.895 Å, b = 3.895 Å, c = 3.895 Å
α = 90.00°, β = 90.00°, γ = 90.00°
Space group Pm-3m (No. 221)
Inequivalent atoms, fractional coordinates:
Pm 0.000 0.000 0.000 x1
Mg 0.500 0.500 0.500 x1
O 0.000 0.500 0.500 x3

Principal peaks in the range 2θ from 15° to 90°, in order of rising 2θ:
- (1 0 0), 2θ = 22.83°, rel. 53
- (1 1 0), 2θ = 32.51°, rel. 100
- (1 1 1), 2θ = 40.10°, rel. 44
- (2 0 0), 2θ = 46.64°, rel. 36
- (2 1 0), 2θ = 52.54°, rel. 25
- (2 1 1), 2θ = 58.00°, rel. 40
- (2 2 0), 2θ = 68.09°, rel. 21
- (3 0 0), 2θ = 72.85°, rel. 12
- (3 1 0), 2θ = 77.50°, rel. 17
- (3 1 1), 2θ = 82.06°, rel. 14

***

[3]
Pr2MgPtO6: theoretical X-ray powder pattern (a wavelength of 1.5418 Å), based on a crystal structure in the Materials Project, relaxed with GGA-PBE.
Peak positions follow from Bragg's law for the DFT cell and can differ from measured ones.

a = 5.548 Å, b = 5.770 Å, c = 9.665 Å
α = 90.00°, β = 124.84°, γ = 90.00°
Space group P2_1/c (No. 14)
Inequivalent atoms, fractional coordinates:
Pr 0.235 0.059 0.250 x4
Mg 0.500 0.000 0.000 x2
Pt 0.000 0.000 0.500 x2
O 0.146 0.206 0.948 x4
O 0.247 0.702 0.950 x4
O 0.344 0.030 0.748 x4

Principal peaks in the range 2θ from 15° to 90°, in order of rising 2θ:
- (0 1 1), 2θ = 19.02°, rel. 24
- (1 0 0), 2θ = 19.52°, rel. 23
- (0 2 0), 2θ = 31.00°, rel. 21
- (1 1 1), 2θ = 31.78°, rel. 100
- (2 0 -2), 2θ = 32.27°, rel. 25
- (2 2 -2), 2θ = 45.35°, rel. 21
- (0 0 4), 2θ = 45.76°, rel. 14
- (1 3 -3), 2θ = 55.63°, rel. 11
- (2 0 -6), 2θ = 57.17°, rel. 17
- (3 1 -5), 2θ = 57.31°, rel. 11

***

[4]
SrPrMgRuO6: theoretical X-ray powder pattern (a wavelength of 1.5418 Å), based on a crystal structure in the Materials Project, relaxed with GGA-PBE.
Peak positions follow from Bragg's law for the DFT cell and can differ from measured ones.

a = 5.602 Å, b = 5.678 Å, c = 9.691 Å
α = 90.00°, β = 125.14°, γ = 90.00°
Space group Pc (No. 7)
Inequivalent atoms, fractional coordinates:
Sr 0.000 0.220 0.000 x2
Pr 0.517 0.299 0.500 x2
Mg 0.255 0.244 0.750 x2
Ru 0.755 0.248 0.251 x2
O 0.086 0.237 0.494 x2
O 0.448 0.273 0.007 x2
O 0.513 0.049 0.294 x2
O 0.578 0.478 0.790 x2
O 0.909 0.037 0.707 x2
O 0.990 0.467 0.214 x2

Principal peaks in the range 2θ from 15° to 90°, in order of rising 2θ:
- (0 1 1), 2θ = 19.23°, rel. 16
- (1 0 0), 2θ = 19.40°, rel. 17
- (0 2 0), 2θ = 31.51°, rel. 23
- (1 1 1), 2θ = 31.84°, rel. 100
- (2 0 -2), 2θ = 31.95°, rel. 25
- (2 2 -2), 2θ = 45.49°, rel. 28
- (0 0 4), 2θ = 45.80°, rel. 16
- (1 3 -3), 2θ = 56.31°, rel. 14
- (2 0 2), 2θ = 56.82°, rel. 17
- (3 1 -5), 2θ = 56.96°, rel. 17

***

[5]
PrMgSn2O6: theoretical X-ray powder pattern (a wavelength of 1.5418 Å), based on a crystal structure in the Materials Project, relaxed with GGA-PBE.
Peak positions follow from Bragg's law for the DFT cell and can differ from measured ones.

a = 8.196 Å, b = 5.833 Å, c = 5.583 Å
α = 90.00°, β = 90.00°, γ = 90.00°
Space group Pmn2_1 (No. 31)
Inequivalent atoms, fractional coordinates:
Pr 0.000 0.191 0.000 x2
Mg 0.000 0.713 0.470 x2
Sn 0.249 0.743 0.985 x4
O 0.000 0.326 0.600 x2
O 0.000 0.800 0.833 x2
O 0.179 0.936 0.304 x4
O 0.180 0.452 0.185 x4

Principal peaks in the range 2θ from 15° to 90°, in order of rising 2θ:
- (1 1 0), 2θ = 18.67°, rel. 13
- (1 0 1), 2θ = 19.24°, rel. 15
- (0 2 0), 2θ = 30.65°, rel. 22
- (2 1 1), 2θ = 31.11°, rel. 100
- (0 0 2), 2θ = 32.07°, rel. 21
- (4 0 0), 2θ = 44.20°, rel. 13
- (0 2 2), 2θ = 44.95°, rel. 21
- (4 2 0), 2θ = 54.77°, rel. 28
- (2 1 3), 2θ = 56.56°, rel. 24
- (4 2 2), 2θ = 64.88°, rel. 13

***

[6]
Pr2MgTi4O12: theoretical X-ray powder pattern (a wavelength of 1.5418 Å), based on a crystal structure in the Materials Project, relaxed with GGA-PBE.
Peak positions follow from Bragg's law for the DFT cell and can differ from measured ones.

a = 5.459 Å, b = 7.431 Å, c = 6.078 Å
α = 90.00°, β = 95.87°, γ = 90.00°
Space group Pm (No. 6)
Inequivalent atoms, fractional coordinates:
Pr 0.000 0.000 0.000 x1
Pr 0.477 0.500 0.257 x1
Mg 0.513 0.000 0.413 x1
Ti 0.017 0.247 0.453 x2
Ti 0.534 0.264 0.804 x2
O 0.068 0.500 0.401 x1
O 0.179 0.200 0.722 x2
O 0.264 0.190 0.266 x2
O 0.415 0.500 0.865 x1
O 0.588 0.000 0.766 x1
O 0.681 0.304 0.547 x2
O 0.735 0.262 0.062 x2
O 0.874 0.000 0.381 x1

Principal peaks in the range 2θ from 15° to 90°, in order of rising 2θ:
- (0 1 1), 2θ = 18.92°, rel. 43
- (1 1 0), 2θ = 20.25°, rel. 100
- (1 1 -1), 2θ = 24.07°, rel. 31
- (1 1 1), 2θ = 26.07°, rel. 35
- (0 2 1), 2θ = 28.19°, rel. 41
- (1 2 -1), 2θ = 31.96°, rel. 82
- (1 0 -2), 2θ = 32.39°, rel. 34
- (2 0 0), 2θ = 32.99°, rel. 33
- (1 2 1), 2θ = 33.52°, rel. 35
- (1 0 2), 2θ = 35.43°, rel. 34

***

[7]
Pr2MgTi4O12: theoretical X-ray powder pattern (a wavelength of 1.5418 Å), based on a crystal structure in the Materials Project, relaxed with GGA-PBE.
Peak positions follow from Bragg's law for the DFT cell and can differ from measured ones.

a = 5.724 Å, b = 5.805 Å, c = 9.344 Å
α = 73.26°, β = 82.69°, γ = 75.57°
Space group P1 (No. 1)
Inequivalent atoms, fractional coordinates:
Pr 0.000 0.000 0.000 x1
Pr 0.377 0.449 0.399 x1
Mg 0.876 0.722 0.779 x1
Ti 0.334 0.788 0.647 x1
Ti 0.483 0.003 0.226 x1
Ti 0.898 0.344 0.613 x1
Ti 0.912 0.440 0.165 x1
O 0.124 0.617 0.191 x1
O 0.125 0.594 0.618 x1
O 0.167 0.141 0.175 x1
O 0.218 0.780 0.836 x1
O 0.228 0.144 0.583 x1
O 0.433 0.826 0.414 x1
O 0.642 0.241 0.220 x1
O 0.655 0.616 0.675 x1
O 0.664 0.797 0.118 x1
O 0.799 0.094 0.758 x1
O 0.807 0.382 0.429 x1
O 0.901 0.456 0.970 x1

Principal peaks in the range 2θ from 15° to 90°, in order of rising 2θ:
- (0 1 1), 2θ = 16.72°, rel. 42
- (1 0 1), 2θ = 18.35°, rel. 100
- (1 0 -1), 2θ = 19.37°, rel. 79
- (0 1 -1), 2θ = 21.33°, rel. 93
- (1 0 2), 2θ = 24.86°, rel. 50
- (-1 1 2), 2θ = 30.25°, rel. 31
- (1 1 3), 2θ = 31.54°, rel. 44
- (0 2 1), 2θ = 31.87°, rel. 40
- (1 1 -2), 2θ = 32.13°, rel. 48
- (2 2 1), 2θ = 39.58°, rel. 34

***

[8]
MgPt3O4: theoretical X-ray powder pattern (a wavelength of 1.5418 Å), based on a crystal structure in the Materials Project, relaxed with GGA-PBE.
Peak positions follow from Bragg's law for the DFT cell and can differ from measured ones.

a = 5.816 Å, b = 5.816 Å, c = 5.816 Å
α = 90.00°, β = 90.00°, γ = 90.00°
Space group Pm-3n (No. 223)
Inequivalent atoms, fractional coordinates:
Mg 0.000 0.000 0.000 x2
Pt 0.000 0.250 0.500 x6
O 0.250 0.250 0.250 x8

Principal peaks in the range 2θ from 15° to 90°, in order of rising 2θ:
- (1 1 0), 2θ = 21.61°, rel. 30
- (2 0 0), 2θ = 30.75°, rel. 5
- (2 1 0), 2θ = 34.48°, rel. 100
- (2 1 1), 2θ = 37.89°, rel. 25
- (3 1 0), 2θ = 49.56°, rel. 7
- (2 2 2), 2θ = 54.67°, rel. 23
- (3 2 0), 2θ = 57.10°, rel. 24
- (3 2 1), 2θ = 59.46°, rel. 14
- (4 0 0), 2θ = 64.04°, rel. 12
- (4 2 1), 2θ = 74.81°, rel. 22

***

[9]
RbMgO3: theoretical X-ray powder pattern (a wavelength of 1.5418 Å), based on a crystal structure in the Materials Project, relaxed with GGA-PBE.
Peak positions follow from Bragg's law for the DFT cell and can differ from measured ones.

a = 4.195 Å, b = 4.195 Å, c = 4.195 Å
α = 90.00°, β = 90.00°, γ = 90.00°
Space group Pm-3m (No. 221)
Inequivalent atoms, fractional coordinates:
Rb 0.000 0.000 0.000 x1
Mg 0.500 0.500 0.500 x1
O 0.000 0.500 0.500 x3

Principal peaks in the range 2θ from 15° to 90°, in order of rising 2θ:
- (1 0 0), 2θ = 21.18°, rel. 24
- (1 1 0), 2θ = 30.13°, rel. 100
- (1 1 1), 2θ = 37.12°, rel. 50
- (2 0 0), 2θ = 43.13°, rel. 51
- (2 1 0), 2θ = 48.53°, rel. 12
- (2 1 1), 2θ = 53.51°, rel. 40
- (2 2 0), 2θ = 62.64°, rel. 30
- (3 1 0), 2θ = 71.07°, rel. 18
- (3 1 1), 2θ = 75.11°, rel. 15
- (3 2 1), 2θ = 86.89°, rel. 21

***

[10]
RbMgRuO3: theoretical X-ray powder pattern (a wavelength of 1.5418 Å), based on a crystal structure in the Materials Project, relaxed with GGA-PBE.
Peak positions follow from Bragg's law for the DFT cell and can differ from measured ones.

a = 5.656 Å, b = 5.693 Å, c = 5.866 Å
α = 90.00°, β = 116.90°, γ = 90.00°
Space group Cm (No. 8)
Inequivalent atoms, fractional coordinates:
Rb 0.000 0.000 0.000 x2
Mg 0.194 0.500 0.389 x2
Ru 0.317 0.000 0.636 x2
O 0.009 0.500 0.011 x2
O 0.010 0.247 0.518 x4

Principal peaks in the range 2θ from 15° to 90°, in order of rising 2θ:
- (0 0 1), 2θ = 16.95°, rel. 34
- (1 1 0), 2θ = 23.56°, rel. 35
- (1 1 -1), 2θ = 23.95°, rel. 33
- (0 2 0), 2θ = 31.43°, rel. 65
- (2 0 -1), 2θ = 31.66°, rel. 64
- (1 1 1), 2θ = 33.65°, rel. 100
- (1 1 -2), 2θ = 34.47°, rel. 95
- (2 2 -1), 2θ = 45.21°, rel. 80
- (3 1 0), 2θ = 57.15°, rel. 34
- (3 1 -3), 2θ = 58.72°, rel. 31

***

[11]
RbMgRuO3: theoretical X-ray powder pattern (a wavelength of 1.5418 Å), based on a crystal structure in the Materials Project, relaxed with GGA-PBE.
Peak positions follow from Bragg's law for the DFT cell and can differ from measured ones.

a = 4.056 Å, b = 4.056 Å, c = 5.350 Å
α = 90.00°, β = 90.00°, γ = 90.00°
Space group P4/mmm (No. 123)
Inequivalent atoms, fractional coordinates:
Rb 0.000 0.000 0.000 x1
Mg 0.000 0.000 0.500 x1
Ru 0.500 0.500 0.500 x1
O 0.000 0.500 0.500 x2
O 0.500 0.500 0.000 x1

Principal peaks in the range 2θ from 15° to 90°, in order of rising 2θ:
- (0 0 1), 2θ = 16.57°, rel. 16
- (1 0 1), 2θ = 27.60°, rel. 100
- (1 1 0), 2θ = 31.19°, rel. 67
- (0 0 2), 2θ = 33.50°, rel. 49
- (2 0 0), 2θ = 44.69°, rel. 42
- (1 1 2), 2θ = 46.42°, rel. 44
- (2 1 1), 2θ = 53.34°, rel. 32
- (2 0 2), 2θ = 56.99°, rel. 39
- (2 2 2), 2θ = 75.18°, rel. 16
- (3 1 2), 2θ = 83.61°, rel. 16

***

[12]
RbMgSbO3: theoretical X-ray powder pattern (a wavelength of 1.5418 Å), based on a crystal structure in the Materials Project, relaxed with GGA-PBE.
Peak positions follow from Bragg's law for the DFT cell and can differ from measured ones.

a = 6.2860 Å, b = 6.2860 Å, c = 11.3088 Å
α = 90.00°, β = 90.00°, γ = 120.00°
Space group R3m (No. 160, hexagonal axes)
Inequivalent atoms, fractional coordinates:
Rb 0.0000 0.0000 0.0000 x3
Mg 0.0000 0.0000 0.4233 x3
Sb 0.0000 0.0000 0.6748 x3
O 0.1758 0.3516 0.4236 x9

Principal peaks in the range 2θ from 15° to 90°, in order of rising 2θ:
- (1 0 1), 2θ = 18.08°, rel. 76
- (0 0 3), 2θ = 23.60°, rel. 54
- (1 1 0), 2θ = 28.40°, rel. 100
- (1 0 4), 2θ = 35.79°, rel. 29
- (2 0 2), 2θ = 36.64°, rel. 19
- (1 1 3), 2θ = 37.25°, rel. 88
- (3 0 0), 2θ = 50.28°, rel. 20
- (3 0 3), 2θ = 56.26°, rel. 26
- (1 1 6), 2θ = 56.97°, rel. 22
- (2 2 0), 2θ = 58.76°, rel. 20